Record 1
This entry pairs a crystal structure of La2Ti3O9 with its theoretical X-ray powder pattern. Radiation: Cu Kα. Structure: a PBE-relaxed structure.
No peak broadening, texture or thermal motion is included.

Crystal structure
abc: 3.704 3.847 27.342
angles: 90.00 90.00 90.00
Space group Immm (No. 71)
Unique sites:
La  0.000  0.000  0.099 (multiplicity 4)
Ti  0.000  0.000  0.321 (multiplicity 4)
Ti  0.000  0.000  0.500 (multiplicity 2)
O  0.000  0.000  0.259 (multiplicity 4)
O  0.000  0.000  0.431 (multiplicity 4)
O  0.000  0.500  0.152 (multiplicity 4)
O  0.000  0.500  0.346 (multiplicity 4)
O  0.000  0.500  0.500 (multiplicity 2)

Largest 8 diffraction maxima, low angle first, 10° ≤ 2θ ≤ 90°:
hkl 0 0 4, 2θ 12.95, intensity 78
hkl 0 1 5, 2θ 28.36, intensity 87
hkl 1 0 5, 2θ 29.12, intensity 100
hkl 1 1 0, 2θ 33.59, intensity 66
hkl 1 1 6, 2θ 39.12, intensity 28
hkl 1 1 10, 2θ 47.62, intensity 38
hkl 2 0 0, 2θ 49.20, intensity 26
hkl 1 2 5, 2θ 56.47, intensity 29


Record 2
This entry pairs a crystal structure of PrCdPd with its theoretical X-ray powder pattern. Radiation: Cu Kα. Structure: a PBE-relaxed structure.
No peak broadening, texture or thermal motion is included.

Crystal structure
abc: 7.7821 7.7821 4.0914
angles: 90.00 90.00 120.00
Space group P-62m (No. 189)
Unique sites:
Pr  0.0000  0.5906  0.0000 (multiplicity 3)
Cd  0.0000  0.2502  0.5000 (multiplicity 3)
Pd  0.0000  0.0000  0.0000 (multiplicity 1)
Pd  0.3333  0.6667  0.5000 (multiplicity 2)

Largest 8 diffraction maxima, low angle first, 10° ≤ 2θ ≤ 90°:
hkl 1 1 1, 2θ 31.74, intensity 100
hkl 2 0 1, 2θ 34.48, intensity 96
hkl 2 1 0, 2θ 35.23, intensity 52
hkl 3 0 0, 2θ 40.14, intensity 35
hkl 2 1 1, 2θ 41.77, intensity 27
hkl 0 0 2, 2θ 44.28, intensity 27
hkl 2 1 2, 2θ 57.81, intensity 24
hkl 3 2 1, 2θ 64.42, intensity 32